(1)
# PmHo6Tm2
Computed powder X-ray diffraction pattern, Cu Ka. Input: a crystal structure in Alexandria, relaxed with PBE.
Peak positions follow from Bragg's law for the DFT cell and can differ from measured ones.

Cell and atoms:
Lattice parameters (Å, degrees): 11.7377 11.7377 5.6568 103.89 103.89 48.13
Positions (direct):
1 Pm 0.2500 0.7500 0.7500
2 Pm 0.7500 0.2500 0.2500
3 Ho 0.0029 0.1673 0.8074
4 Ho 0.0833 0.5826 0.5833
5 Ho 0.1673 0.0029 0.3074
6 Ho 0.3326 0.4973 0.1386
7 Ho 0.4174 0.9167 0.9167
8 Ho 0.4973 0.3326 0.6386
9 Ho 0.5027 0.6674 0.3614
10 Ho 0.5826 0.0833 0.0833
11 Ho 0.6674 0.5027 0.8614
12 Ho 0.8327 0.9971 0.6926
13 Ho 0.9167 0.4174 0.4167
14 Ho 0.9971 0.8327 0.1926
15 Tm 0.1676 0.3322 0.0321
16 Tm 0.3322 0.1676 0.5321
17 Tm 0.6678 0.8324 0.4679
18 Tm 0.8324 0.6678 0.9679

Most intense lines, 2θ from 10° to 80°, sorted by position:
two_theta  I_rel
31.63  490
31.81  899
32.00  466
32.21  1000
45.61  328
46.18  158
56.71  168
57.06  159
57.42  181
63.52  285

(2)
# Pm2HoTm12
Computed powder X-ray diffraction pattern, Cu Ka. Input: a crystal structure in Alexandria, relaxed with PBE.
Peak positions follow from Bragg's law for the DFT cell and can differ from measured ones.

Cell and atoms:
Lattice parameters (Å, degrees): 6.5767 6.5767 23.8449 92.30 92.30 114.80
Positions (direct):
1 Pm 0.0693 0.0693 0.2798
2 Pm 0.4309 0.4309 0.7196
3 Pm 0.5691 0.5691 0.2804
4 Pm 0.9307 0.9307 0.7202
5 Ho 0.2499 0.2499 0.0000
6 Ho 0.7501 0.7501 0.0000
7 Tm 0.0334 0.0334 0.1340
8 Tm 0.0475 0.5475 0.1913
9 Tm 0.0819 0.5822 0.3301
10 Tm 0.1394 0.6383 0.5549
11 Tm 0.1427 0.1427 0.5720
12 Tm 0.2337 0.7329 0.9338
13 Tm 0.2671 0.7663 0.0662
14 Tm 0.3564 0.3564 0.4283
15 Tm 0.3617 0.8606 0.4451
16 Tm 0.4178 0.9181 0.6699
17 Tm 0.4525 0.9525 0.8087
18 Tm 0.4665 0.4665 0.8655
19 Tm 0.5335 0.5335 0.1345
20 Tm 0.5475 0.0475 0.1913
21 Tm 0.5822 0.0819 0.3301
22 Tm 0.6383 0.1394 0.5549
23 Tm 0.6436 0.6436 0.5717
24 Tm 0.7329 0.2337 0.9338
25 Tm 0.7663 0.2671 0.0662
26 Tm 0.8573 0.8573 0.4280
27 Tm 0.8606 0.3617 0.4451
28 Tm 0.9181 0.4178 0.6699
29 Tm 0.9525 0.4525 0.8087
30 Tm 0.9666 0.9666 0.8660

Most intense lines, 2θ from 10° to 80°, sorted by position:
two_theta  I_rel
30.04  223
30.47  240
30.88  639
31.41  1000
32.31  797
32.69  496
34.23  417
34.51  535
46.62  300
62.20  246

(3)
# Pm6Ho6Tm
Computed powder X-ray diffraction pattern, Cu Ka. Input: a crystal structure in Alexandria, relaxed with PBE.
Peak positions follow from Bragg's law for the DFT cell and can differ from measured ones.

Cell and atoms:
Lattice parameters (Å, degrees): 6.7145 6.7145 11.3557 90.00 90.00 120.00
Positions (direct):
1 Pm 0.0000 0.0000 0.1578
2 Pm 0.0000 0.0000 0.8422
3 Pm 0.3333 0.6667 0.0000
4 Pm 0.3333 0.6667 0.5000
5 Pm 0.6667 0.3333 0.0000
6 Pm 0.6667 0.3333 0.5000
7 Ho 0.0000 0.5000 0.2544
8 Ho 0.0000 0.5000 0.7456
9 Ho 0.5000 0.0000 0.2544
10 Ho 0.5000 0.0000 0.7456
11 Ho 0.5000 0.5000 0.2544
12 Ho 0.5000 0.5000 0.7456
13 Tm 0.0000 0.0000 0.5000

Most intense lines, 2θ from 10° to 80°, sorted by position:
two_theta  I_rel
26.55  355
28.13  274
30.75  604
30.94  844
31.51  337
34.66  1000
35.18  273
54.68  377
55.76  318
64.49  261

(4)
# Pm4Ho5Tm4
Computed powder X-ray diffraction pattern, Cu Ka. Input: a crystal structure in Alexandria, relaxed with PBE.
Peak positions follow from Bragg's law for the DFT cell and can differ from measured ones.

Cell and atoms:
Lattice parameters (Å, degrees): 9.4015 9.4015 9.4015 94.07 94.07 149.09
Positions (direct):
1 Pm 0.0782 0.6177 0.6959
2 Pm 0.3823 0.0782 0.4605
3 Pm 0.6177 0.9218 0.5395
4 Pm 0.9218 0.3823 0.3041
5 Ho 0.0000 0.0000 0.0000
6 Ho 0.3102 0.4606 0.7708
7 Ho 0.4606 0.6898 0.1503
8 Ho 0.5394 0.3102 0.8497
9 Ho 0.6898 0.5394 0.2292
10 Tm 0.1533 0.2297 0.3830
11 Tm 0.2297 0.8467 0.0763
12 Tm 0.7703 0.1533 0.9237
13 Tm 0.8467 0.7703 0.6170

Most intense lines, 2θ from 10° to 80°, sorted by position:
two_theta  I_rel
30.84  1000
35.73  338
35.84  168
51.47  360
61.17  285
61.32  142
64.26  123
75.69  38
75.95  19